Computed X-ray diffraction stick pattern of Li6MnV3P6O24 for Cu Kα (weighted mean of Kα1 and Kα2), from the GGA+U geometry in the Materials Project.
Intensities are scaled so that the largest is 1000.

Structure:
abc: 8.679 8.723 8.781
angles: 91.26 119.61 118.68
Element x y z (fractional)
Li (0.000, 0.000, 0.000)
Li (0.076, 0.472, 0.119)
Li (0.346, 0.848, 0.848)
Li (0.731, 0.457, 0.700)
Li (0.837, 0.731, 0.378)
Li (0.918, 0.148, 0.388)
Mn (0.657, 0.263, 0.089)
V (0.228, 0.962, 0.382)
V (0.233, 0.466, 0.885)
V (0.650, 0.752, 0.585)
P (0.142, 0.058, 0.691)
P (0.156, 0.581, 0.490)
P (0.432, 0.357, 0.263)
P (0.461, 0.862, 0.209)
P (0.736, 0.157, 0.786)
P (0.739, 0.640, 0.987)
O (0.098, 0.726, 0.444)
O (0.102, 0.037, 0.493)
O (0.129, 0.223, 0.729)
O (0.209, 0.589, 0.687)
O (0.278, 0.404, 0.118)
O (0.283, 0.163, 0.256)
O (0.302, 0.708, 0.015)
O (0.318, 0.867, 0.260)
O (0.346, 0.634, 0.478)
O (0.352, 0.082, 0.841)
O (0.525, 0.120, 0.623)
O (0.545, 0.591, 0.985)
O (0.585, 0.503, 0.461)
O (0.587, 0.371, 0.215)
O (0.604, 0.044, 0.191)
O (0.620, 0.823, 0.358)
O (0.716, 0.658, 0.802)
O (0.756, 0.170, 0.975)
O (0.771, 0.002, 0.761)
O (0.790, 0.491, 0.021)
O (0.917, 0.351, 0.813)
O (0.929, 0.834, 0.139)
O (0.960, 0.873, 0.673)
O (0.972, 0.384, 0.347)

Main lines, low angle first (2θ = 10–80°):
(hkl), d/Å, 2θ (°), intensity
0 1 -1, 6.249, 14.2, 780
1 -1 1, 4.391, 20.2, 731
1 -2 0, 4.360, 20.4, 368
-2 1 1, 4.338, 20.5, 544
0 2 -1, 3.768, 23.6, 805
2 0 -1, 3.753, 23.7, 1000
-1 2 1, 3.713, 24.0, 451
-2 1 2, 3.701, 24.0, 507
1 0 -3, 2.850, 31.4, 392
2 1 -3, 2.552, 35.2, 432